# 1
Starting from a GGA-PBE-relaxed structure, the XRD peak list of TlCuBi2 was calculated for copper Kα.
Lines closer than 0.1° are merged.

Cell and atoms:
```
data_TlCuBi2
_symmetry_space_group_name_H-M 'F -4 3 m'
_symmetry_Int_Tables_number 216
_symmetry_space_group_name_Hall 'F -4 2 3'
_cell_length_a 7.5865
_cell_length_b 7.5865
_cell_length_c 7.5865
_cell_angle_alpha 90.00
_cell_angle_beta 90.00
_cell_angle_gamma 90.00
loop_
_atom_site_label
_atom_site_fract_x
_atom_site_fract_y
_atom_site_fract_z
Tl1 0.0000 0.0000 0.0000
Cu1 0.2500 0.2500 0.7500
Bi1 0.0000 0.0000 0.5000
Bi2 0.2500 0.2500 0.2500
```

Peak list (12 most intense, 10 to 90 degrees two-theta, sorted by position)
index, two_theta, intensity
1 1 1, 20.3, 9
2 0 0, 23.5, 4
2 2 0, 33.4, 100
3 1 1, 39.4, 5
4 0 0, 48.0, 18
3 3 1, 52.6, 2
4 2 0, 54.1, 2
4 2 2, 59.7, 39
4 4 0, 70.2, 12
5 3 1, 73.9, 2
6 2 0, 80.0, 17
4 4 4, 89.5, 5


# 2
Starting from a GGA-PBE-relaxed structure, the XRD peak list of Sc2NiBi2Pd was calculated for copper Kα.
Lines closer than 0.1° are merged.

Cell and atoms:
```
data_Sc2NiBi2Pd
_symmetry_space_group_name_H-M 'P 1 m 1'
_symmetry_Int_Tables_number 6
_symmetry_space_group_name_Hall 'P -2y'
_cell_length_a 7.8350
_cell_length_b 4.5122
_cell_length_c 14.9889
_cell_angle_alpha 90.00
_cell_angle_beta 99.86
_cell_angle_gamma 90.00
loop_
_atom_site_label
_atom_site_fract_x
_atom_site_fract_y
_atom_site_fract_z
Sc1 0.0000 0.0000 0.0000
Sc2 0.0011 0.5000 0.4935
Sc3 0.2442 0.0000 0.7422
Sc4 0.2466 0.5000 0.2448
Sc5 0.4912 0.0000 0.4909
Sc6 0.4991 0.5000 0.0001
Sc7 0.7465 0.0000 0.2431
Sc8 0.7517 0.5000 0.7431
Ni1 0.0604 0.0000 0.1835
Ni2 0.0602 0.5000 0.6801
Ni3 0.3071 0.5000 0.4298
Ni4 0.5598 0.5000 0.1828
Bi1 0.1218 0.5000 0.8642
Bi2 0.1290 0.0000 0.3668
Bi3 0.3625 0.5000 0.6142
Bi4 0.3741 0.0000 0.1264
Bi5 0.6118 0.5000 0.3659
Bi6 0.6223 0.0000 0.8696
Bi7 0.8753 0.5000 0.1269
Bi8 0.8821 0.0000 0.6208
Pd1 0.3096 0.0000 0.9352
Pd2 0.5597 0.0000 0.6794
Pd3 0.8103 0.0000 0.4307
Pd4 0.8133 0.5000 0.9357
```

Peak list (12 most intense, 10 to 90 degrees two-theta, sorted by position)
index, two_theta, intensity
1 1 1, 24.1, 71
1 1 -3, 27.9, 30
0 2 0, 39.9, 100
4 0 0, 47.1, 12
2 2 -2, 47.2, 25
2 2 2, 49.4, 9
2 2 -6, 57.8, 11
4 2 0, 63.4, 12
1 3 -3, 65.4, 8
6 0 -2, 72.4, 11
3 3 -1, 72.5, 22
6 2 -2, 86.0, 7


# 3
Starting from a GGA-PBE-relaxed structure, the XRD peak list of RbFeSeS was calculated for copper Kα.
Lines closer than 0.1° are merged.

Cell and atoms:
```
data_RbFeSeS
_symmetry_space_group_name_H-M 'I m m m'
_symmetry_Int_Tables_number 71
_symmetry_space_group_name_Hall '-I 2 2'
_cell_length_a 5.4992
_cell_length_b 6.9552
_cell_length_c 11.9083
_cell_angle_alpha 90.00
_cell_angle_beta 90.00
_cell_angle_gamma 90.00
loop_
_atom_site_label
_atom_site_fract_x
_atom_site_fract_y
_atom_site_fract_z
Rb1 0.0000 0.0000 0.1727
Fe1 0.2391 0.0000 0.5000
Se1 0.0000 0.5000 0.1552
S1 0.0000 0.2496 0.5000
```

Peak list (12 most intense, 10 to 90 degrees two-theta, sorted by position)
index, two_theta, intensity
0 1 1, 14.7, 47
0 2 0, 25.6, 55
1 0 3, 27.7, 100
1 2 1, 31.3, 46
2 0 0, 32.6, 16
2 0 2, 36.0, 20
1 2 3, 38.1, 38
2 2 2, 44.7, 37
0 0 6, 45.7, 18
2 2 4, 52.4, 25
2 0 6, 57.3, 15
1 4 3, 60.5, 20


# 4
Starting from a GGA-PBE-relaxed structure, the XRD peak list of HgF4 was calculated for copper Kα.
Lines closer than 0.1° are merged.

Cell and atoms:
```
data_HgF4
_symmetry_space_group_name_H-M 'F d d 2'
_symmetry_Int_Tables_number 43
_symmetry_space_group_name_Hall 'F 2 -2d'
_cell_length_a 9.4385
_cell_length_b 10.4218
_cell_length_c 5.3215
_cell_angle_alpha 90.00
_cell_angle_beta 90.00
_cell_angle_gamma 90.00
loop_
_atom_site_label
_atom_site_fract_x
_atom_site_fract_y
_atom_site_fract_z
Hg1 0.0000 0.0000 0.0000
F1 0.0001 0.1342 0.2577
F2 0.0014 0.1344 0.7425
```

Peak list (12 most intense, 10 to 90 degrees two-theta, sorted by position)
index, two_theta, intensity
1 1 1, 21.0, 100
2 2 0, 25.5, 59
1 3 1, 32.2, 38
3 1 1, 34.2, 31
0 2 2, 38.0, 26
4 0 0, 38.1, 22
3 3 1, 42.3, 18
1 5 1, 47.8, 13
2 4 2, 52.9, 33
1 1 3, 53.3, 10
4 2 2, 54.9, 18
2 6 0, 56.5, 9


# 5
Starting from a GGA-PBE-relaxed structure, the XRD peak list of H6PtC8S4N6 was calculated for copper Kα.
Lines closer than 0.1° are merged.

Cell and atoms:
```
data_H6PtC8S4N6
_symmetry_space_group_name_H-M 'P 1 21/c 1'
_symmetry_Int_Tables_number 14
_symmetry_space_group_name_Hall '-P 2ybc'
_cell_length_a 6.1141
_cell_length_b 7.7035
_cell_length_c 14.8092
_cell_angle_alpha 90.00
_cell_angle_beta 95.58
_cell_angle_gamma 90.00
loop_
_atom_site_label
_atom_site_fract_x
_atom_site_fract_y
_atom_site_fract_z
H1 0.1019 0.1686 0.4932
H2 0.2326 0.2473 0.0896
H3 0.3265 0.2119 0.9889
Pt1 0.0000 0.0000 0.0000
C1 0.0872 0.5221 0.8067
C2 0.0933 0.5501 0.7127
C3 0.2737 0.6290 0.6811
C4 0.4504 0.6816 0.7432
S1 0.1292 0.5310 0.3557
S2 0.3022 0.6624 0.5668
N1 0.0801 0.0046 0.3842
N2 0.1859 0.2252 0.0213
N3 0.4030 0.2220 0.7043
```

Peak list (12 most intense, 10 to 90 degrees two-theta, sorted by position)
index, two_theta, intensity
0 0 2, 12.0, 20
0 1 1, 13.0, 100
1 0 0, 14.6, 38
1 0 -2, 18.0, 17
1 1 -1, 19.1, 29
1 1 1, 20.0, 15
0 1 3, 21.5, 11
1 1 -3, 25.0, 10
1 0 -4, 27.0, 12
1 2 0, 27.4, 30
1 2 2, 30.6, 10
1 1 -5, 34.5, 11


# 6
Starting from a GGA-PBE-relaxed structure, the XRD peak list of CoNiPbS3 was calculated for copper Kα.
Lines closer than 0.1° are merged.

Cell and atoms:
```
data_CoNiPbS3
_symmetry_space_group_name_H-M 'C m c m'
_symmetry_Int_Tables_number 63
_symmetry_space_group_name_Hall '-C 2c 2'
_cell_length_a 3.6007
_cell_length_b 13.2472
_cell_length_c 8.8426
_cell_angle_alpha 90.00
_cell_angle_beta 90.00
_cell_angle_gamma 90.00
loop_
_atom_site_label
_atom_site_fract_x
_atom_site_fract_y
_atom_site_fract_z
Co1 0.0000 0.0275 0.2500
Ni1 0.0000 0.5000 0.0000
Pb1 0.0000 0.2557 0.7500
S1 0.0000 0.1228 0.0506
S2 0.0000 0.4387 0.2500
```

Peak list (12 most intense, 10 to 90 degrees two-theta, sorted by position)
index, two_theta, intensity
0 0 2, 20.1, 36
0 2 2, 24.2, 51
0 4 0, 26.9, 35
1 1 1, 27.6, 58
1 3 1, 33.7, 100
0 4 2, 33.8, 36
1 3 2, 38.1, 24
1 1 3, 40.1, 38
0 0 4, 40.8, 31
1 3 3, 44.7, 30
1 7 1, 55.9, 20
1 3 5, 62.1, 21